# Sr2TiFeO6
Simulated X-ray powder pattern, copper Kα. Input: a cell relaxed with GGA+U.
Kinematic intensities with the Lorentz-polarization factor, no thermal factor.

Principal peaks in the range 10° ≤ 2θ ≤ 90°, low angle first:
2θ (°)	Rel. int.	hkl
32.21	100	1 1 0
39.72	17	1 1 2
46.12	27	2 0 0
46.34	13	0 0 4
57.38	25	2 1 2
67.45	15	2 0 4

Cell and atoms:
Unit cell a=3.9364 b=3.9364 c=7.8368 alpha=90.00 beta=90.00 gamma=90.00
Fractional coordinates of all 10 atoms:
Sr1 0.0000 0.0000 0.2449
Sr2 0.0000 0.0000 0.7551
Ti1 0.5000 0.5000 0.5000
Fe1 0.5000 0.5000 0.0000
O1 0.0000 0.5000 0.0000
O2 0.0000 0.5000 0.5000
O3 0.5000 0.0000 0.0000
O4 0.5000 0.0000 0.5000
O5 0.5000 0.5000 0.2502
O6 0.5000 0.5000 0.7498